For Cs2Tl8In3, the PBE geometry in Alexandria gives the computed XRD peak list in this record (Cu Kα, 1.54184 Å).

Atomic structure:
```
Cs2Tl8In3
1.0
8.879 -3.548 0.000
8.879 3.548 0.000
-1.795 0.000 7.265
Cs Tl In
2 8 3
Direct
0.189 0.189 0.326 Cs
0.811 0.811 0.674 Cs
0.124 0.627 0.234 Tl
0.305 0.305 0.876 Tl
0.373 0.876 0.766 Tl
0.437 0.437 0.628 Tl
0.563 0.563 0.372 Tl
0.627 0.124 0.234 Tl
0.695 0.695 0.124 Tl
0.876 0.373 0.766 Tl
0.000 0.000 0.500 In
0.243 0.757 0.000 In
0.757 0.243 0.000 In
```

Most intense lines, 10° ≤ 2θ ≤ 90°, sorted by position:
2θ/deg	I (rel.)
13.9	17
28.6	26
28.8	37
30.6	40
30.9	100
36.0	42
38.0	32
49.5	26


For Cs3Tl3In8, the PBE geometry in Alexandria gives the computed XRD peak list in this record (Cu Kα, 1.54184 Å).

Atomic structure:
```
Cs3Tl3In8
1.0
-2.622 6.026 7.808
2.622 -6.026 7.808
2.622 6.026 -7.808
Cs Tl In
3 3 8
Direct
0.000 0.000 0.000 Cs
0.312 0.312 0.000 Cs
0.688 0.688 0.000 Cs
0.296 0.500 0.796 Tl
0.500 0.000 0.500 Tl
0.704 0.500 0.204 Tl
0.035 0.669 0.366 In
0.118 0.852 0.267 In
0.303 0.669 0.634 In
0.415 0.148 0.267 In
0.585 0.852 0.733 In
0.697 0.331 0.366 In
0.882 0.148 0.733 In
0.965 0.331 0.634 In
```

Most intense lines, 10° ≤ 2θ ≤ 90°, sorted by position:
2θ/deg	I (rel.)
28.0	22
28.3	100
30.3	33
34.2	34
34.5	27
36.4	15
49.3	20
51.8	21


For Cs2Tl10In, the PBE geometry in Alexandria gives the computed XRD peak list in this record (Cu Kα, 1.54184 Å).

Atomic structure:
```
Cs2Tl10In
1.0
11.246 0.000 0.000
0.000 13.186 0.000
0.000 0.000 7.400
Cs Tl In
4 20 2
Direct
0.241 0.064 0.000 Cs
0.259 0.564 0.000 Cs
0.741 0.436 0.000 Cs
0.759 0.936 0.000 Cs
0.042 0.122 0.500 Tl
0.073 0.315 0.232 Tl
0.073 0.315 0.768 Tl
0.178 0.699 0.500 Tl
0.233 0.937 0.500 Tl
0.267 0.437 0.500 Tl
0.322 0.199 0.500 Tl
0.427 0.815 0.232 Tl
0.427 0.815 0.768 Tl
0.458 0.622 0.500 Tl
0.542 0.378 0.500 Tl
0.573 0.185 0.232 Tl
0.573 0.185 0.768 Tl
0.678 0.801 0.500 Tl
0.733 0.563 0.500 Tl
0.767 0.063 0.500 Tl
0.822 0.301 0.500 Tl
0.927 0.685 0.232 Tl
0.927 0.685 0.768 Tl
0.958 0.878 0.500 Tl
0.000 0.500 0.500 In
0.500 0.000 0.500 In
```

Most intense lines, 10° ≤ 2θ ≤ 90°, sorted by position:
2θ/deg	I (rel.)
12.0	100
28.9	23
29.7	30
30.0	29
30.7	52
32.6	70
34.9	27
36.8	26


For Cs2Tl7In, the PBE geometry in Alexandria gives the computed XRD peak list in this record (Cu Kα, 1.54184 Å).

Atomic structure:
```
Cs2Tl7In
1.0
5.357 0.000 0.000
0.000 5.357 0.000
0.000 0.000 13.140
Cs Tl In
2 7 1
Direct
0.000 0.500 0.248 Cs
0.500 0.000 0.752 Cs
0.000 0.000 0.000 Tl
0.000 0.000 0.500 Tl
0.000 0.500 0.634 Tl
0.000 0.500 0.871 Tl
0.500 0.000 0.129 Tl
0.500 0.000 0.366 Tl
0.500 0.500 0.500 Tl
0.500 0.500 0.000 In
```

Most intense lines, 10° ≤ 2θ ≤ 90°, sorted by position:
2θ/deg	I (rel.)
26.3	56
27.2	100
33.5	84
36.2	74
38.2	41
43.0	30
48.0	43
56.0	36